[1]
Computed powder XRD pattern of Cs6Rb8Cl for λ = 1.5418 Å (Cu Kα), from a structure optimized by DFT (PBE).
Lines closer than 0.1° are merged.

Structure:
```
Cs6Rb8Cl
1.0
6.921 3.996 8.457
-6.921 3.996 8.457
0.000 -7.991 8.457
Cs Rb Cl
6 8 1
Cartesian
-2.070 -2.312 10.578
-3.038 0.637 14.793
-0.967 2.949 10.578
0.967 -2.949 14.793
3.038 -0.637 10.578
2.071 2.312 14.793
-6.109 1.326 10.456
-4.203 -4.628 14.914
0.000 0.000 6.265
1.906 -5.954 10.456
-1.906 5.954 14.914
0.000 0.000 19.105
4.203 4.628 10.456
6.109 -1.326 14.914
0.000 0.000 0.000
```

Peak list (10 most intense, 2θ from 10° to 80°, by angle)
20.82°, intensity 1000
21.01°, intensity 332
24.14°, intensity 774
34.28°, intensity 305
34.52°, intensity 299
40.45°, intensity 165
40.55°, intensity 331
40.76°, intensity 167
42.37°, intensity 155
55.92°, intensity 137

=====

[2]
Computed powder XRD pattern of Cs4RbCl5 for λ = 1.5418 Å (Cu Kα), from a structure optimized by DFT (PBE).
Lines closer than 0.1° are merged.

Structure:
```
Cs4RbCl5
1.0
-2.477 2.477 17.479
2.477 -2.477 17.479
2.477 2.477 -17.479
Cs Rb Cl
4 1 5
Cartesian
0.000 0.000 3.446
0.000 0.000 10.523
0.000 0.000 24.435
0.000 0.000 31.512
0.000 0.000 17.479
0.000 0.000 0.000
0.000 0.000 6.976
0.000 0.000 14.099
0.000 0.000 20.859
0.000 0.000 27.982
```

Peak list (10 most intense, 2θ from 10° to 80°, by angle)
21.99°, intensity 523
25.44°, intensity 1000
36.29°, intensity 755
42.84°, intensity 290
44.84°, intensity 269
52.22°, intensity 85
57.36°, intensity 127
58.96°, intensity 234
59.06°, intensity 113
65.28°, intensity 254